Record 1
For Sc8Rh2Au, a GGA-PBE-relaxed structure gives the calculated PXRD pattern in this record (Cu Kα (weighted mean of Kα1 and Kα2)).
Peak positions follow from Bragg's law for the DFT cell and can differ from measured ones.

Structural model:
a b c (Å): 7.3462 7.3462 5.0351
angles (deg): 98.65 98.65 114.21
Atoms (fractional coordinates):
Sc 0.0000 0.0000 0.0000
Sc 0.0493 0.3016 0.5966
Sc 0.1417 0.6096 0.1851
Sc 0.3016 0.0493 0.5966
Sc 0.4494 0.7020 0.7740
Sc 0.6096 0.1417 0.1851
Sc 0.7020 0.4494 0.7740
Sc 0.7498 0.7498 0.3700
Rh 0.0657 0.6851 0.6846
Rh 0.6851 0.0657 0.6846
Au 0.3748 0.3748 0.1851

Peak list (8 most intense, 2θ from 10° to 90°, sorted by position)
d [Å]  Position (°2θ)  I_rel
4.412  20.13  74
3.834  23.20  70
3.807  23.37  100
3.624  24.56  64
2.601  34.49  84
2.519  35.64  91
2.187  41.28  80
2.171  41.61  68

Record 2
For Sc2Si2Rh5Au, a GGA-PBE-relaxed structure gives the calculated PXRD pattern in this record (Cu Kα (weighted mean of Kα1 and Kα2)).
Peak positions follow from Bragg's law for the DFT cell and can differ from measured ones.

Structural model:
a b c (Å): 9.5019 9.5019 3.4769
angles (deg): 90.00 90.00 90.00
Atoms (fractional coordinates):
Sc 0.1732 0.3268 0.0000
Sc 0.3268 0.8268 0.0000
Sc 0.6732 0.1732 0.0000
Sc 0.8268 0.6732 0.0000
Si 0.1266 0.6266 0.0000
Si 0.3734 0.1266 0.0000
Si 0.6266 0.8734 0.0000
Si 0.8734 0.3734 0.0000
Rh 0.0000 0.5000 0.5000
Rh 0.0709 0.7874 0.5000
Rh 0.2126 0.0709 0.5000
Rh 0.2874 0.5709 0.5000
Rh 0.4291 0.2874 0.5000
Rh 0.5000 0.0000 0.5000
Rh 0.5709 0.7126 0.5000
Rh 0.7126 0.4291 0.5000
Rh 0.7874 0.9291 0.5000
Rh 0.9291 0.2126 0.5000
Au 0.0000 0.0000 0.0000
Au 0.5000 0.5000 0.0000

Peak list (8 most intense, 2θ from 10° to 90°, sorted by position)
d [Å]  Position (°2θ)  I_rel
6.719  13.18  24
4.751  18.68  26
2.416  37.22  32
2.305  39.09  26
2.273  39.64  100
2.125  42.55  34
2.100  43.07  23
1.253  75.91  23

Record 3
For TmScRhAu, a GGA-PBE-relaxed structure gives the calculated PXRD pattern in this record (Cu Kα (weighted mean of Kα1 and Kα2)).
Peak positions follow from Bragg's law for the DFT cell and can differ from measured ones.

Structural model:
a b c (Å): 3.4219 3.4219 6.6856
angles (deg): 90.00 90.00 90.00
Atoms (fractional coordinates):
Tm 0.0000 0.0000 0.0000
Sc 0.0000 0.0000 0.5256
Rh 0.5000 0.5000 0.7494
Au 0.5000 0.5000 0.2776

Peak list (8 most intense, 2θ from 10° to 90°, sorted by position)
d [Å]  Position (°2θ)  I_rel
6.686  13.24  16
3.046  29.32  25
2.420  37.16  53
2.391  37.62  100
1.711  53.56  19
1.391  67.29  36
1.375  68.19  16
1.196  80.30  10